LiPrNp2N4: computed powder XRD pattern (Cu Kα), based on a DFT-relaxed cell (PBE, Alexandria).
Peak positions follow from Bragg's law for the DFT cell and can differ from measured ones.

Structural model:
Unit cell a=3.5120 b=11.2858 c=11.1927 alpha=90.00 beta=90.00 gamma=90.00
Space group Cmcm (No. 63)
Asymmetric unit:
Li 0.0000 0.1628 0.2500 [4 per cell]
Pr 0.0000 0.1052 0.7500 [4 per cell]
Np 0.0000 0.3704 0.5574 [8 per cell]
N 0.0000 0.0000 0.0000 [4 per cell]
N 0.0000 0.2638 0.1086 [8 per cell]
N 0.0000 0.4389 0.7500 [4 per cell]

Largest 8 diffraction maxima, by angle, 2θ from 10° to 90°:
15.84°, intensity 30, hkl 0 0 2
27.77°, intensity 28, hkl 1 1 1
28.68°, intensity 100, hkl 0 2 3
31.09°, intensity 63, hkl 1 1 2
31.71°, intensity 42, hkl 0 4 0
35.89°, intensity 29, hkl 1 3 1
38.58°, intensity 40, hkl 1 3 2
48.92°, intensity 30, hkl 1 1 5

=====

LiNpSN: computed powder XRD pattern (Cu Kα), based on a DFT-relaxed cell (PBE, Alexandria).
Peak positions follow from Bragg's law for the DFT cell and can differ from measured ones.

Structural model:
Unit cell a=3.8406 b=3.8406 c=29.7848 alpha=90.00 beta=90.00 gamma=120.00
Space group R-3m (No. 166, hexagonal axes)
Asymmetric unit:
Li 0.0000 0.0000 0.1951 [6 per cell]
Np 0.0000 0.0000 0.3800 [6 per cell]
S 0.0000 0.0000 0.1107 [6 per cell]
N 0.0000 0.0000 0.3053 [6 per cell]

Largest 8 diffraction maxima, by angle, 2θ from 10° to 90°:
26.96°, intensity 57, hkl 0 0 9
29.41°, intensity 100, hkl 1 0 4
30.79°, intensity 29, hkl 0 1 5
36.21°, intensity 64, hkl 0 0 12
47.34°, intensity 33, hkl 1 1 0
48.25°, intensity 30, hkl 1 0 13
56.69°, intensity 28, hkl 0 2 4
61.01°, intensity 33, hkl 1 1 12

=====

Li2Np3ScN6: computed powder XRD pattern (Cu Kα), based on a DFT-relaxed cell (PBE, Alexandria).
Peak positions follow from Bragg's law for the DFT cell and can differ from measured ones.

Structural model:
Unit cell a=13.6690 b=3.4092 c=6.1240 alpha=90.00 beta=91.44 gamma=90.00
Space group C2/m (No. 12)
Asymmetric unit:
Li 0.1315 0.0000 0.2669 [4 per cell]
Np 0.0000 0.5000 0.0000 [2 per cell]
Np 0.1966 0.0000 0.7429 [4 per cell]
Sc 0.0000 0.5000 0.5000 [2 per cell]
N 0.0165 0.0000 0.7515 [4 per cell]
N 0.1613 0.5000 0.9995 [4 per cell]
N 0.1649 0.5000 0.4972 [4 per cell]

Largest 8 diffraction maxima, by angle, 2θ from 10° to 90°:
19.71°, intensity 87, hkl 2 0 1
29.62°, intensity 53, hkl 4 0 -1
30.64°, intensity 100, hkl 1 1 -1
31.73°, intensity 43, hkl 2 0 -2
32.35°, intensity 35, hkl 2 0 2
32.81°, intensity 75, hkl 3 1 0
51.77°, intensity 36, hkl 5 1 -2
52.82°, intensity 65, hkl 5 1 2

=====

Li2NpTaN4: computed powder XRD pattern (Cu Kα), based on a DFT-relaxed cell (PBE, Alexandria).
Peak positions follow from Bragg's law for the DFT cell and can differ from measured ones.

Structural model:
Unit cell a=3.3455 b=15.0725 c=8.0847 alpha=90.00 beta=90.00 gamma=90.00
Space group Cmcm (No. 63)
Asymmetric unit:
Li 0.0000 0.0776 0.0737 [8 per cell]
Np 0.0000 0.4187 0.2500 [4 per cell]
Ta 0.0000 0.2620 0.7500 [4 per cell]
N 0.0000 0.1593 0.6016 [8 per cell]
N 0.0000 0.1709 0.2500 [4 per cell]
N 0.0000 0.5000 0.0000 [4 per cell]

Largest 8 diffraction maxima, by angle, 2θ from 10° to 90°:
16.08°, intensity 53, hkl 0 2 1
21.99°, intensity 70, hkl 0 0 2
26.09°, intensity 39, hkl 0 4 1
27.31°, intensity 21, hkl 1 1 0
34.05°, intensity 100, hkl 1 3 1
35.34°, intensity 29, hkl 1 1 2
42.36°, intensity 26, hkl 0 6 2
46.92°, intensity 40, hkl 1 3 3

=====

LiNpTaN3: computed powder XRD pattern (Cu Kα), based on a DFT-relaxed cell (PBE, Alexandria).
Peak positions follow from Bragg's law for the DFT cell and can differ from measured ones.

Structural model:
Unit cell a=6.6756 b=3.1553 c=6.8115 alpha=90.00 beta=104.06 gamma=90.00
Space group P2_1/m (No. 11)
Asymmetric unit:
Li 0.0794 0.2500 0.0851 [2 per cell]
Np 0.1921 0.2500 0.7181 [2 per cell]
Ta 0.3334 0.7500 0.3173 [2 per cell]
N 0.1206 0.2500 0.3683 [2 per cell]
N 0.2211 0.7500 0.0181 [2 per cell]
N 0.4403 0.7500 0.6621 [2 per cell]

Largest 8 diffraction maxima, by angle, 2θ from 10° to 90°:
13.40°, intensity 38, hkl 0 0 1
26.99°, intensity 57, hkl 0 0 2
27.56°, intensity 60, hkl 2 0 0
31.42°, intensity 100, hkl 0 1 1
33.69°, intensity 74, hkl 2 0 -2
39.91°, intensity 99, hkl 2 1 -1
52.86°, intensity 57, hkl 2 1 -3
64.75°, intensity 26, hkl 4 1 -2

=====

Li2NpTcN4: computed powder XRD pattern (Cu Kα), based on a DFT-relaxed cell (PBE, Alexandria).
Peak positions follow from Bragg's law for the DFT cell and can differ from measured ones.

Structural model:
Unit cell a=3.1914 b=12.1718 c=9.4261 alpha=90.00 beta=90.00 gamma=90.00
Space group Cmcm (No. 63)
Asymmetric unit:
Li 0.0000 0.0929 0.0385 [8 per cell]
Np 0.0000 0.4577 0.2500 [4 per cell]
Tc 0.0000 0.2840 0.7500 [4 per cell]
N 0.0000 0.0997 0.2500 [4 per cell]
N 0.0000 0.1898 0.6114 [8 per cell]
N 0.0000 0.5000 0.0000 [4 per cell]

Largest 8 diffraction maxima, by angle, 2θ from 10° to 90°:
18.83°, intensity 100, hkl 0 0 2
28.92°, intensity 36, hkl 1 1 0
30.88°, intensity 37, hkl 0 4 1
34.74°, intensity 46, hkl 1 1 2
37.09°, intensity 53, hkl 1 3 1
41.30°, intensity 24, hkl 0 4 3
46.32°, intensity 23, hkl 1 3 3
48.61°, intensity 22, hkl 1 1 4

=====

Li3Np3WN8: computed powder XRD pattern (Cu Kα), based on a DFT-relaxed cell (PBE, Alexandria).
Peak positions follow from Bragg's law for the DFT cell and can differ from measured ones.

Structural model:
Unit cell a=6.6618 b=6.6618 c=15.1412 alpha=90.00 beta=90.00 gamma=120.00
Space group R-3m (No. 166, hexagonal axes)
Asymmetric unit:
Li 0.0000 0.5000 0.0000 [9 per cell]
Np 0.0000 0.5000 0.5000 [9 per cell]
W 0.0000 0.0000 0.5000 [3 per cell]
N 0.0000 0.0000 0.2388 [6 per cell]
N 0.0218 0.5109 0.2350 [18 per cell]

Largest 8 diffraction maxima, by angle, 2θ from 10° to 90°:
17.57°, intensity 100, hkl 0 0 3
31.57°, intensity 67, hkl 0 2 1
33.24°, intensity 49, hkl 2 0 2
39.27°, intensity 50, hkl 0 2 4
43.32°, intensity 27, hkl 2 0 5
52.91°, intensity 19, hkl 0 2 7
55.15°, intensity 19, hkl 2 2 0
58.33°, intensity 41, hkl 2 0 8

=====

Li3Np2ZnN6: computed powder XRD pattern (Cu Kα), based on a DFT-relaxed cell (PBE, Alexandria).
Peak positions follow from Bragg's law for the DFT cell and can differ from measured ones.

Structural model:
Unit cell a=12.8776 b=3.5184 c=6.5334 alpha=90.00 beta=104.62 gamma=90.00
Space group C2/m (No. 12)
Asymmetric unit:
Li 0.0000 0.0000 0.0000 [2 per cell]
Li 0.1637 0.5000 0.3348 [4 per cell]
Np 0.1582 0.5000 0.8148 [4 per cell]
Zn 0.0000 0.0000 0.5000 [2 per cell]
N 0.0045 0.5000 0.7503 [4 per cell]
N 0.1640 0.0000 0.6171 [4 per cell]
N 0.1775 0.0000 0.0515 [4 per cell]

Largest 8 diffraction maxima, by angle, 2θ from 10° to 90°:
17.28°, intensity 100, hkl 2 0 -1
30.80°, intensity 44, hkl 1 1 1
33.38°, intensity 30, hkl 3 1 0
34.95°, intensity 27, hkl 4 0 -2
35.18°, intensity 15, hkl 4 0 1
37.57°, intensity 39, hkl 1 1 -2
43.87°, intensity 16, hkl 5 1 -1
50.51°, intensity 13, hkl 3 1 -3

=====

Li8N3O: computed powder XRD pattern (Cu Kα), based on a DFT-relaxed cell (PBE, Alexandria).
Peak positions follow from Bragg's law for the DFT cell and can differ from measured ones.

Structural model:
Unit cell a=4.8163 b=4.8163 c=4.8163 alpha=90.00 beta=90.00 gamma=90.00
Space group Pm-3m (No. 221)
Asymmetric unit:
Li 0.2426 0.2426 0.2426 [8 per cell]
N 0.0000 0.5000 0.5000 [3 per cell]
O 0.0000 0.0000 0.0000 [1 per cell]

Largest 8 diffraction maxima, by angle, 2θ from 10° to 90°:
18.42°, intensity 2, hkl 1 0 0
26.17°, intensity 1, hkl 1 1 0
32.19°, intensity 100, hkl 1 1 1
37.34°, intensity 3, hkl 2 0 0
53.84°, intensity 77, hkl 2 2 0
64.13°, intensity 21, hkl 3 1 1
79.62°, intensity 9, hkl 4 0 0
88.49°, intensity 7, hkl 3 3 1

=====

Li14P2N6O3: computed powder XRD pattern (Cu Kα), based on a DFT-relaxed cell (PBE, Alexandria).
Peak positions follow from Bragg's law for the DFT cell and can differ from measured ones.

Structural model:
Unit cell a=5.7007 b=5.7007 c=8.0627 alpha=90.00 beta=90.00 gamma=120.00
Space group P-3 (No. 147)
Asymmetric unit:
Li 0.0000 0.0000 0.2489 [2 per cell]
Li 0.0451 0.3532 0.5895 [6 per cell]
Li 0.0826 0.7041 0.9091 [6 per cell]
P 0.3333 0.6667 0.2264 [2 per cell]
N 0.0715 0.6947 0.1742 [6 per cell]
O 0.0000 0.0000 0.5000 [1 per cell]
O 0.3333 0.6667 0.4466 [2 per cell]

Largest 8 diffraction maxima, by angle, 2θ from 10° to 90°:
21.10°, intensity 100, hkl 1 0 1
31.38°, intensity 11, hkl 1 1 0
33.34°, intensity 48, hkl 0 0 3
38.13°, intensity 13, hkl 0 2 1
48.80°, intensity 11, hkl 0 1 4
50.18°, intensity 14, hkl 3 -2 1
55.87°, intensity 40, hkl 3 0 0
69.65°, intensity 10, hkl 0 2 5

=====

LiPaNO: computed powder XRD pattern (Cu Kα), based on a DFT-relaxed cell (PBE, Alexandria).
Peak positions follow from Bragg's law for the DFT cell and can differ from measured ones.

Structural model:
Unit cell a=3.4853 b=3.4853 c=7.8450 alpha=90.00 beta=90.00 gamma=90.00
Space group P4/nmm (No. 129, origin choice 2)
Asymmetric unit:
Li 0.2500 0.7500 0.0000 [2 per cell]
Pa 0.2500 0.2500 0.3096 [2 per cell]
N 0.2500 0.2500 0.8305 [2 per cell]
O 0.2500 0.7500 0.5000 [2 per cell]

Largest 8 diffraction maxima, by angle, 2θ from 10° to 90°:
11.28°, intensity 39, hkl 0 0 1
22.67°, intensity 24, hkl 0 0 2
28.01°, intensity 100, hkl 1 0 1
34.42°, intensity 41, hkl 1 0 2
36.46°, intensity 31, hkl 1 1 0
43.36°, intensity 30, hkl 1 1 2
53.62°, intensity 24, hkl 1 0 4
60.57°, intensity 25, hkl 2 1 1

=====

Sr2LiTi6N2O11: computed powder XRD pattern (Cu Kα), based on a DFT-relaxed cell (PBE, Alexandria).
Peak positions follow from Bragg's law for the DFT cell and can differ from measured ones.

Structural model:
Unit cell a=15.1545 b=3.8819 c=9.8251 alpha=90.00 beta=103.71 gamma=90.00
Space group Cm (No. 8)
Asymmetric unit:
Sr 0.0000 0.0000 0.0000 [2 per cell]
Sr 0.1319 0.0000 0.4319 [2 per cell]
Li 0.0667 0.0000 0.7172 [2 per cell]
Ti 0.1961 0.5000 0.7631 [2 per cell]
Ti 0.2237 0.5000 0.1442 [2 per cell]
Ti 0.3160 0.5000 0.4819 [2 per cell]
Ti 0.3173 0.0000 0.9653 [2 per cell]
Ti 0.4047 0.0000 0.3029 [2 per cell]
Ti 0.4323 0.0000 0.6632 [2 per cell]
N 0.2315 0.5000 0.6006 [2 per cell]
N 0.3456 0.0000 0.4752 [2 per cell]
O 0.0196 0.5000 0.3898 [2 per cell]
O 0.0655 0.5000 0.7097 [2 per cell]
O 0.1117 0.5000 0.0392 [2 per cell]
O 0.1963 0.0000 0.8103 [2 per cell]
O 0.2020 0.5000 0.3209 [2 per cell]
O 0.2554 0.0000 0.1330 [2 per cell]
O 0.2937 0.5000 0.9560 [2 per cell]
O 0.3724 0.5000 0.2880 [2 per cell]
O 0.3993 0.0000 0.8339 [2 per cell]
O 0.4255 0.0000 0.1053 [2 per cell]
O 0.4367 0.5000 0.6434 [2 per cell]

Largest 8 diffraction maxima, by angle, 2θ from 10° to 90°:
23.76°, intensity 44, hkl 4 0 -1
27.79°, intensity 100, hkl 2 0 -3
29.35°, intensity 66, hkl 3 1 0
29.45°, intensity 82, hkl 3 1 -1
31.19°, intensity 63, hkl 1 1 2
32.15°, intensity 48, hkl 3 1 1
34.10°, intensity 44, hkl 4 0 2
46.81°, intensity 58, hkl 0 2 0